No. 1
Starting from a GGA-PBE-relaxed structure, the powder diffractogram of TiTl2O3 was simulated for copper Kα.
No peak broadening, texture or thermal motion is included.

Structural model:
```
24
Lattice="12.791 0.000 0.000 0.000 3.869 0.000 0.000 0.000 9.892" Properties=species:S:1:pos:R:3 pbc="T T T"
Ti 1.224 0.967 0.294
Ti 5.172 2.902 5.241
Ti 7.620 0.967 4.652
Ti 11.567 2.902 9.598
Tl 1.331 2.902 3.524
Tl 1.986 2.902 7.267
Tl 4.410 0.967 2.321
Tl 5.064 0.967 8.471
Tl 7.727 2.902 1.422
Tl 8.381 2.902 7.572
Tl 10.806 0.967 2.625
Tl 11.460 0.967 6.368
O 0.734 2.902 0.244
O 1.937 0.967 1.978
O 2.505 0.967 8.914
O 3.890 2.902 3.968
O 4.458 2.902 6.924
O 5.661 0.967 5.190
O 7.130 2.902 4.703
O 8.333 0.967 2.968
O 8.901 0.967 5.925
O 10.286 2.902 0.979
O 10.854 2.902 7.915
O 12.057 0.967 9.649
```

Peak list (12 most intense, 5 to 70 degrees two-theta, sorted by position)
h k l  2theta  I (rel.)
0 0 2  17.93  45
1 1 1  25.68  38
2 1 0  26.93  98
4 0 0  27.92  100
4 0 1  29.35  40
1 1 2  30.14  30
2 0 3  30.50  51
2 1 2  32.54  100
0 1 3  35.78  38
5 1 2  46.35  33
6 1 1  49.69  33
4 2 0  55.52  29



No. 2
Starting from a GGA-PBE-relaxed structure, the powder diffractogram of CuHgSCl was simulated for copper Kα.
No peak broadening, texture or thermal motion is included.

Structural model:
```
16
Lattice="10.158 0.000 0.000 0.000 4.095 0.000 0.000 0.000 9.036" Properties=species:S:1:pos:R:3 pbc="T T T"
Cu 0.866 0.000 2.072
Cu 4.213 0.000 2.072
Cu 5.945 0.000 6.964
Cu 9.292 0.000 6.964
Hg 0.000 2.047 4.518
Hg 2.539 2.047 7.188
Hg 5.079 2.047 4.518
Hg 7.618 2.047 1.848
S 0.101 2.047 6.927
S 4.978 2.047 6.927
S 5.180 2.047 2.109
S 10.057 2.047 2.109
Cl 2.539 0.000 0.376
Cl 2.539 0.000 3.989
Cl 7.618 0.000 5.047
Cl 7.618 0.000 8.660
```

Peak list (12 most intense, 5 to 70 degrees two-theta, sorted by position)
h k l  2theta  I (rel.)
0 0 1  9.79  33
1 0 1  13.11  26
2 0 1  20.05  60
0 1 0  21.70  27
1 1 1  25.44  100
3 0 1  28.14  40
0 0 3  29.70  88
2 1 2  34.43  100
4 0 0  35.34  27
4 1 0  41.86  35
0 2 0  44.24  31
4 1 3  52.14  28



No. 3
Starting from a GGA-PBE-relaxed structure, the powder diffractogram of MgZn2 was simulated for copper Kα.
No peak broadening, texture or thermal motion is included.

Structural model:
```
12
Lattice="10.639 0.000 0.000 0.000 2.945 0.000 -1.692 0.000 6.419" Properties=species:S:1:pos:R:3 pbc="T T T"
Mg -0.226 0.000 1.891
Mg 3.853 1.473 4.527
Mg 5.094 1.473 1.891
Mg 9.173 0.000 4.527
Zn 1.518 1.473 0.201
Zn 1.014 1.473 4.123
Zn 2.613 0.000 2.296
Zn 2.109 0.000 6.218
Zn 6.838 0.000 0.201
Zn 6.334 0.000 4.123
Zn 7.933 1.473 2.296
Zn 7.429 1.473 6.218
```

Peak list (12 most intense, 5 to 70 degrees two-theta, sorted by position)
h k l  2theta  I (rel.)
0 0 1  13.80  8
2 0 0  17.24  39
1 1 0  31.60  11
1 1 1  35.54  31
2 0 2  36.59  19
4 0 -2  38.89  53
3 1 0  40.37  76
1 1 -2  41.00  100
0 0 3  42.24  30
3 1 -3  54.21  10
0 2 0  63.14  12
3 1 3  65.19  21



No. 4
Starting from a GGA-PBE-relaxed structure, the powder diffractogram of HfO2 was simulated for copper Kα.
No peak broadening, texture or thermal motion is included.

Structural model:
```
12
Lattice="5.556 0.000 0.000 0.000 3.334 0.000 0.000 0.000 6.505" Properties=species:S:1:pos:R:3 pbc="T T T"
Hf 1.382 0.833 0.702
Hf 1.396 2.500 3.954
Hf 4.160 0.833 2.551
Hf 4.175 2.500 5.803
O 0.116 2.500 2.221
O 0.775 2.500 6.007
O 2.003 0.833 2.754
O 2.663 0.833 5.474
O 2.894 2.500 1.031
O 3.553 2.500 3.751
O 4.781 0.833 0.498
O 5.441 0.833 4.284
```

Peak list (12 most intense, 5 to 70 degrees two-theta, sorted by position)
h k l  2theta  I (rel.)
0 1 1  30.12  47
1 0 2  31.88  95
2 0 0  32.22  48
1 1 1  34.26  100
2 1 1  44.69  46
0 1 3  50.19  31
0 2 0  55.10  17
3 0 2  57.24  24
3 1 1  58.77  26
2 1 3  60.91  31
1 2 2  65.08  26
2 2 0  65.28  13



No. 5
Starting from a GGA-PBE-relaxed structure, the powder diffractogram of CuP4Ru2O14 was simulated for copper Kα.
No peak broadening, texture or thermal motion is included.

Structural model:
```
21
Lattice="4.884 0.000 0.000 -1.937 6.534 0.000 -0.297 -0.504 8.305" Properties=species:S:1:pos:R:3 pbc="T T T"
Cu 0.000 0.000 0.000
P -1.364 3.851 6.371
P 0.331 4.821 2.522
P 2.319 1.210 5.783
P 4.014 2.179 1.934
Ru -0.148 -0.252 4.153
Ru 1.473 3.267 0.000
O -1.136 5.040 5.462
O 0.079 1.829 0.714
O -0.925 5.714 2.596
O -0.119 3.286 2.801
O -0.032 3.267 6.812
O 1.278 1.043 4.680
O 0.865 4.903 1.073
O 1.785 1.127 7.232
O 1.371 4.988 3.625
O 2.682 2.763 1.493
O 2.768 2.745 5.504
O 3.574 0.316 5.709
O 2.571 4.201 7.591
O 3.785 0.990 2.843
```

Peak list (12 most intense, 5 to 70 degrees two-theta, sorted by position)
h k l  2theta  I (rel.)
0 1 -1  16.77  69
0 1 1  17.79  41
1 -1 0  19.94  35
0 0 2  21.38  22
1 0 1  22.29  25
1 -1 1  22.73  47
0 1 -2  24.71  26
1 1 0  26.44  56
1 1 -1  27.88  22
-1 1 2  29.30  100
1 -1 2  29.53  62
0 2 2  36.03  29



No. 6
Starting from a GGA-PBE-relaxed structure, the powder diffractogram of Dy3Y5O12 was simulated for copper Kα.
No peak broadening, texture or thermal motion is included.

Structural model:
```
40
Lattice="9.261 0.000 0.000 -3.085 8.734 0.000 -3.088 -4.365 7.563" Properties=species:S:1:pos:R:3 pbc="T T T"
Dy 0.000 0.000 0.000
Dy -2.683 -1.377 5.673
Dy 0.001 2.845 2.138
Dy 0.003 3.275 6.168
Dy 3.091 7.214 2.138
Dy 3.493 1.237 5.921
Y -2.681 5.174 1.890
Y -2.681 1.897 4.277
Y 0.203 -0.141 4.028
Y 0.204 6.406 0.247
Y 0.403 -3.133 5.921
Y 0.005 6.550 3.783
Y 3.088 1.091 2.386
Y 3.492 4.082 0.494
Y 6.380 2.040 0.248
Y 3.289 4.224 4.031
O -2.341 2.948 2.295
O -2.078 -0.235 3.708
O -0.600 2.273 0.012
O -3.563 0.671 6.085
O -4.911 5.174 5.843
O -2.076 6.732 0.329
O -2.343 6.364 3.791
O 0.877 0.669 1.979
O -2.341 3.360 6.002
O -0.333 5.084 2.057
O -0.479 -0.954 6.076
O -0.333 2.088 4.265
O 2.223 3.276 2.220
O 2.487 6.090 0.163
O 3.971 -0.961 1.975
O 4.100 1.807 0.486
O 2.483 -0.052 4.354
O 2.752 -3.239 5.765
O 2.228 3.129 5.759
O 2.232 6.270 4.114
O 2.616 -0.145 7.486
O 7.057 -0.142 0.567
O 4.354 2.182 3.948
O 4.352 5.320 2.303
```

Peak list (12 most intense, 5 to 70 degrees two-theta, sorted by position)
h k l  2theta  I (rel.)
1 -1 0  11.70  6
2 0 -1  20.34  16
1 1 1  28.92  100
2 -2 2  33.51  30
1 3 -2  35.61  8
2 -4 1  39.52  6
3 1 -4  43.13  11
0 0 4  48.13  40
4 2 -3  52.76  7
5 -3 1  57.13  30
2 4 -1  58.53  8
-6 2 2  59.92  5